(1)
Structure and simulated powder diffractogram of Cu3AsO4 (a crystal structure in Alexandria, relaxed with GGA-PBE; Cu Kα).
Peak positions follow from Bragg's law for the DFT cell and can differ from measured ones.

Most intense lines, 10 to 90 degrees two-theta, most intense first:
2θ = 36.0°, I 100; 2θ = 33.9°, I 97; 2θ = 31.6°, I 88; 2θ = 36.1°, I 75; 2θ = 62.0°, I 51; 2θ = 47.0°, I 42

Crystal structure
a b c (Å): 6.5511 5.6387 5.2877
angles (deg): 90.00 90.00 90.00
Fractional positions:
Cu: 0.0000 0.2290 0.0000
Cu: 0.2103 0.6115 0.0433
Cu: 0.2897 0.3885 0.5433
Cu: 0.5000 0.7710 0.5000
Cu: 0.7103 0.3885 0.5433
Cu: 0.7897 0.6115 0.0433
As: 0.0000 0.8731 0.5001
As: 0.5000 0.1269 0.0001
O: 0.0000 0.1671 0.5990
O: 0.0000 0.8540 0.1652
O: 0.2123 0.7222 0.6282
O: 0.2877 0.2778 0.1282
O: 0.5000 0.1460 0.6652
O: 0.5000 0.8329 0.0990
O: 0.7123 0.2778 0.1282
O: 0.7877 0.7222 0.6282


(2)
Structure and simulated powder diffractogram of Cu4As3O12 (a crystal structure in Alexandria, relaxed with GGA-PBE; Cu Kα).
Peak positions follow from Bragg's law for the DFT cell and can differ from measured ones.

Most intense lines, 10 to 90 degrees two-theta, most intense first:
2θ = 34.1°, I 100; 2θ = 61.0°, I 50; 2θ = 16.9°, I 25; 2θ = 49.0°, I 23; 2θ = 81.9°, I 18; 2θ = 29.4°, I 12

Crystal structure
a b c (Å): 6.4404 6.4404 6.4404
angles (deg): 109.47 109.47 109.47
Fractional positions:
Cu: 0.0000 0.0000 0.5000
Cu: 0.0000 0.5000 0.0000
Cu: 0.5000 0.0000 0.0000
Cu: 0.5000 0.5000 0.5000
As: 0.0000 0.5000 0.5000
As: 0.5000 0.0000 0.5000
As: 0.5000 0.5000 0.0000
O: 0.1536 0.3284 0.8252
O: 0.1748 0.5033 0.3284
O: 0.1748 0.8464 0.6716
O: 0.3284 0.1748 0.5033
O: 0.3284 0.8252 0.1536
O: 0.4967 0.6716 0.8252
O: 0.5033 0.3284 0.1748
O: 0.6716 0.1748 0.8464
O: 0.6716 0.8252 0.4967
O: 0.8252 0.1536 0.3284
O: 0.8252 0.4967 0.6716
O: 0.8464 0.6716 0.1748


(3)
Structure and simulated powder diffractogram of Cu2AsO (a crystal structure in Alexandria, relaxed with GGA-PBE; Cu Kα).
Peak positions follow from Bragg's law for the DFT cell and can differ from measured ones.

Most intense lines, 10 to 90 degrees two-theta, most intense first:
2θ = 32.5°, I 100; 2θ = 38.8°, I 36; 2θ = 57.6°, I 32; 2θ = 47.3°, I 24; 2θ = 58.6°, I 22; 2θ = 37.9°, I 13

Crystal structure
a b c (Å): 5.4333 5.4333 7.9297
angles (deg): 90.00 90.00 90.00
Fractional positions:
Cu: 0.1864 0.2500 0.1250
Cu: 0.2500 0.6864 0.3750
Cu: 0.2500 0.8136 0.8750
Cu: 0.3136 0.2500 0.6250
Cu: 0.6864 0.7500 0.6250
Cu: 0.7500 0.1864 0.8750
Cu: 0.7500 0.3136 0.3750
Cu: 0.8136 0.7500 0.1250
As: 0.0000 0.0000 0.5000
As: 0.0000 0.5000 0.7500
As: 0.5000 0.0000 0.2500
As: 0.5000 0.5000 0.0000
O: 0.0000 0.0000 0.0000
O: 0.0000 0.5000 0.2500
O: 0.5000 0.0000 0.7500
O: 0.5000 0.5000 0.5000